For MgV2Cr4O12, a DFT-relaxed cell (PBE+U, the Materials Project) gives the calculated powder diffractogram in this record (a wavelength of 1.5418 Å).

Crystal structure
Unit cell a=5.214 b=5.263 c=9.056 alpha=93.63 beta=94.79 gamma=104.97
Positions (direct):
Mg 0.000 0.000 0.000
V 0.139 0.689 0.337
V 0.683 0.326 0.772
Cr 0.241 0.709 0.654
Cr 0.278 0.598 0.975
Cr 0.579 0.149 0.169
Cr 0.773 0.121 0.481
O 0.001 0.869 0.468
O 0.101 0.733 0.140
O 0.145 0.829 0.844
O 0.328 0.550 0.456
O 0.344 0.302 0.092
O 0.428 0.503 0.784
O 0.470 0.973 0.333
O 0.563 0.010 0.651
O 0.619 0.883 0.048
O 0.871 0.336 0.303
O 0.908 0.321 0.928
O 0.912 0.418 0.627

The 12 most intense peaks (10° ≤ 2θ ≤ 90°), in order of rising 2θ:
two_theta, I/Imax
20.88, 13
21.39, 100
25.26, 20
28.18, 62
28.74, 13
29.07, 19
29.47, 24
33.21, 21
33.38, 14
36.17, 16
39.29, 12
48.52, 13


For Mg14NiCO16, a DFT-relaxed cell (PBE+U, the Materials Project) gives the calculated powder diffractogram in this record (a wavelength of 1.5418 Å).

Crystal structure
Unit cell a=4.232 b=8.492 c=8.497 alpha=90.00 beta=90.00 gamma=90.00
Positions (direct):
Mg 0.000 0.000 0.000
Mg 0.000 0.249 0.253
Mg 0.000 0.249 0.747
Mg 0.000 0.500 0.000
Mg 0.000 0.751 0.253
Mg 0.000 0.751 0.747
Mg 0.500 0.000 0.254
Mg 0.500 0.000 0.746
Mg 0.500 0.248 0.500
Mg 0.500 0.250 0.000
Mg 0.500 0.500 0.252
Mg 0.500 0.500 0.748
Mg 0.500 0.750 0.000
Mg 0.500 0.752 0.500
Ni 0.000 0.500 0.500
C 0.000 0.000 0.500
O 0.000 0.000 0.249
O 0.000 0.000 0.751
O 0.000 0.250 0.000
O 0.000 0.250 0.500
O 0.000 0.500 0.250
O 0.000 0.500 0.750
O 0.000 0.750 0.000
O 0.000 0.750 0.500
O 0.500 0.000 0.000
O 0.500 0.000 0.500
O 0.500 0.249 0.252
O 0.500 0.249 0.748
O 0.500 0.500 0.000
O 0.500 0.500 0.500
O 0.500 0.751 0.252
O 0.500 0.751 0.748

The 12 most intense peaks (10° ≤ 2θ ≤ 90°), in order of rising 2θ:
two_theta, I/Imax
10.42, 11
14.75, 8
23.45, 7
25.75, 5
31.64, 4
36.69, 19
42.57, 100
42.74, 49
61.78, 28
61.91, 56
74.06, 8
78.03, 25


For NaBiW2O8, a DFT-relaxed cell (PBE+U, the Materials Project) gives the calculated powder diffractogram in this record (a wavelength of 1.5418 Å).

Crystal structure
Unit cell a=6.930 b=6.930 c=6.930 alpha=134.48 beta=134.48 gamma=66.34
Positions (direct):
Na 0.000 0.000 0.000
Bi 0.750 0.250 0.500
W 0.250 0.750 0.500
W 0.500 0.500 0.000
O 0.008 0.423 0.100
O 0.091 0.992 0.415
O 0.171 0.560 0.907
O 0.323 0.909 0.900
O 0.440 0.347 0.611
O 0.577 0.677 0.585
O 0.653 0.264 0.093
O 0.736 0.829 0.389

The 12 most intense peaks (10° ≤ 2θ ≤ 90°), in order of rising 2θ:
two_theta, I/Imax
15.27, 10
18.23, 22
28.12, 100
30.83, 15
33.42, 23
46.10, 30
47.99, 13
53.17, 17
56.54, 29
58.13, 12
74.39, 20
88.17, 8


For Li4Mn2OF7, a DFT-relaxed cell (PBE+U, the Materials Project) gives the calculated powder diffractogram in this record (a wavelength of 1.5418 Å).

Crystal structure
Unit cell a=5.990 b=6.014 c=6.057 alpha=89.95 beta=60.72 gamma=61.53
Positions (direct):
Li 0.000 0.000 0.000
Li 0.242 0.401 0.631
Li 0.491 0.796 0.276
Li 0.734 0.413 0.626
Mn 0.221 0.410 0.143
Mn 0.742 0.890 0.622
O 0.754 0.669 0.410
F 0.222 0.177 0.403
F 0.239 0.650 0.397
F 0.251 0.149 0.872
F 0.272 0.617 0.861
F 0.729 0.133 0.861
F 0.735 0.142 0.406
F 0.755 0.659 0.859

The 12 most intense peaks (10° ≤ 2θ ≤ 90°), in order of rising 2θ:
two_theta, I/Imax
18.00, 95
18.19, 100
20.82, 49
28.61, 19
29.84, 27
33.66, 24
33.78, 18
34.40, 33
35.08, 18
41.24, 52
42.38, 94
62.00, 18


For Mg6BWO8, a DFT-relaxed cell (PBE+U, the Materials Project) gives the calculated powder diffractogram in this record (a wavelength of 1.5418 Å).

Crystal structure
Unit cell a=4.312 b=4.312 c=8.944 alpha=90.00 beta=90.00 gamma=90.00
Positions (direct):
Mg 0.000 0.000 0.000
Mg 0.000 0.000 0.500
Mg 0.000 0.500 0.230
Mg 0.000 0.500 0.770
Mg 0.500 0.000 0.230
Mg 0.500 0.000 0.770
B 0.500 0.500 0.000
W 0.500 0.500 0.500
O 0.000 0.000 0.251
O 0.000 0.000 0.749
O 0.000 0.500 0.000
O 0.000 0.500 0.500
O 0.500 0.000 0.000
O 0.500 0.000 0.500
O 0.500 0.500 0.261
O 0.500 0.500 0.739

The 12 most intense peaks (10° ≤ 2θ ≤ 90°), in order of rising 2θ:
two_theta, I/Imax
19.85, 23
20.60, 40
22.90, 100
28.76, 36
30.99, 55
35.64, 47
36.65, 28
40.34, 40
41.90, 76
48.28, 29
59.57, 46
60.75, 23


For Mn3V3Te2O16, a DFT-relaxed cell (PBE+U, the Materials Project) gives the calculated powder diffractogram in this record (a wavelength of 1.5418 Å).

Crystal structure
Unit cell a=5.933 b=5.944 c=10.540 alpha=89.41 beta=89.68 gamma=60.90
Positions (direct):
Mn 0.000 0.000 0.000
Mn 0.149 0.175 0.491
Mn 0.503 0.001 0.999
V 0.211 0.630 0.490
V 0.512 0.484 0.024
V 0.681 0.685 0.526
Te 0.694 0.107 0.282
Te 0.998 0.509 0.808
O 0.000 0.975 0.393
O 0.161 0.182 0.894
O 0.169 0.664 0.898
O 0.300 0.366 0.592
O 0.320 0.844 0.581
O 0.333 0.835 0.082
O 0.358 0.346 0.108
O 0.473 0.527 0.396
O 0.521 0.965 0.386
O 0.668 0.173 0.916
O 0.670 0.667 0.898
O 0.795 0.355 0.108
O 0.803 0.392 0.603
O 0.816 0.873 0.139
O 0.818 0.824 0.612
O 0.988 0.515 0.410

The 12 most intense peaks (10° ≤ 2θ ≤ 90°), in order of rising 2θ:
two_theta, I/Imax
16.82, 48
19.04, 100
19.16, 65
19.35, 32
24.11, 60
30.74, 42
30.86, 25
34.52, 26
34.62, 21
34.80, 29
35.67, 34
56.27, 32


For LiV3O8, a DFT-relaxed cell (PBE+U, the Materials Project) gives the calculated powder diffractogram in this record (a wavelength of 1.5418 Å).

Crystal structure
Unit cell a=6.503 b=6.503 c=6.944 alpha=106.58 beta=106.58 gamma=31.43
Positions (direct):
Li 0.000 0.000 0.000
V 0.216 0.216 0.352
V 0.297 0.297 0.927
V 0.514 0.514 0.427
O 0.026 0.026 0.352
O 0.164 0.164 0.100
O 0.262 0.262 0.675
O 0.357 0.357 0.371
O 0.440 0.440 0.014
O 0.547 0.547 0.669
O 0.672 0.672 0.393
O 0.777 0.777 0.981

The 12 most intense peaks (10° ≤ 2θ ≤ 90°), in order of rising 2θ:
two_theta, I/Imax
13.35, 61
14.82, 25
16.77, 44
22.79, 48
26.38, 100
26.89, 62
29.89, 33
33.97, 52
36.34, 27
43.36, 28
51.92, 31
57.86, 25


For Li5Fe8B8O24, a DFT-relaxed cell (PBE+U, the Materials Project) gives the calculated powder diffractogram in this record (a wavelength of 1.5418 Å).

Crystal structure
Unit cell a=5.235 b=9.117 c=11.344 alpha=67.52 beta=77.06 gamma=89.37
Positions (direct):
Li 0.000 0.000 0.000
Li 0.028 0.033 0.249
Li 0.263 0.255 0.480
Li 0.314 0.284 0.737
Li 0.761 0.742 0.505
Fe 0.032 0.352 0.966
Fe 0.045 0.706 0.221
Fe 0.265 0.934 0.467
Fe 0.304 0.637 0.721
Fe 0.517 0.838 0.966
Fe 0.562 0.222 0.210
Fe 0.757 0.429 0.465
Fe 0.821 0.121 0.712
B 0.018 0.686 0.959
B 0.056 0.376 0.222
B 0.259 0.592 0.473
B 0.325 0.970 0.714
B 0.526 0.168 0.966
B 0.560 0.899 0.204
B 0.772 0.098 0.457
B 0.806 0.466 0.713
O 0.022 0.623 0.434
O 0.052 0.454 0.747
O 0.136 0.790 0.999
O 0.173 0.583 0.914
O 0.210 0.111 0.693
O 0.234 0.860 0.672
O 0.272 0.180 0.949
O 0.311 0.361 0.231
O 0.372 0.701 0.511
O 0.377 0.455 0.477
O 0.408 0.004 0.251
O 0.434 0.804 0.162
O 0.534 0.130 0.418
O 0.537 0.938 0.771
O 0.637 0.262 0.016
O 0.669 0.598 0.703
O 0.681 0.056 0.933
O 0.705 0.345 0.686
O 0.758 0.687 0.964
O 0.826 0.900 0.199
O 0.881 0.198 0.502
O 0.896 0.968 0.446
O 0.909 0.485 0.256
O 0.942 0.270 0.179

The 12 most intense peaks (10° ≤ 2θ ≤ 90°), in order of rising 2θ:
two_theta, I/Imax
19.47, 27
19.65, 47
21.53, 100
25.93, 45
26.55, 32
33.96, 20
34.28, 51
35.26, 72
40.35, 33
40.92, 19
49.45, 20
60.97, 21